[1]
Structure and simulated powder XRD pattern of Sr3LiTa4O12F2 (the PBE geometry in the Materials Project; CuKα).

Cell and atoms:
```
22
Lattice="3.7887 2.1874 6.0634 -3.7887 2.1874 6.0634 0.0000 -4.3748 6.0634" Properties=species:S:1:pos:R:3 pbc="T T T"
Sr -1.8944 -1.0937 6.0634
Sr -1.8944 1.0937 12.1268
Sr 0.0000 2.1874 6.0634
Li 0.0000 0.0000 9.0951
Ta 0.0000 0.0000 0.0000
Ta -3.7887 0.0000 9.0951
Ta -1.8944 1.0937 3.0317
Ta 1.8944 1.0937 3.0317
O -2.3695 -1.3680 8.6979
O 0.0000 -2.6507 4.9988
O -2.2956 1.3254 4.9988
O 0.0000 -2.7360 9.4922
O -2.3695 1.3680 9.4922
O -2.2956 -1.3254 13.1914
O 2.2956 1.3254 4.9988
O 2.3695 -1.3680 8.6980
O 0.0000 2.7360 8.6980
O 2.2956 -1.3254 13.1914
O 0.0000 2.6507 13.1914
O 2.3695 1.3680 9.4922
F 0.0000 0.0000 7.1253
F 0.0000 0.0000 11.0649
```

Largest 8 diffraction maxima, by intensity, 10 to 90 degrees two-theta:
2θ 28.93, I = 100
2θ 33.68, I = 44
2θ 14.35, I = 43
2θ 29.46, I = 30
2θ 48.03, I = 30
2θ 48.72, I = 29
2θ 57.35, I = 28
2θ 27.77, I = 18

[2]
Structure and simulated powder XRD pattern of Li2PdF6 (the PBE geometry in the Materials Project; CuKα).

Cell and atoms:
```
18
Lattice="4.7447 0.0000 0.0000 0.0000 4.7447 0.0000 0.0000 0.0000 9.2558" Properties=species:S:1:pos:R:3 pbc="T T T"
Li 0.0000 0.0000 1.5183
Li 0.0000 0.0000 7.7375
Li 2.3723 2.3723 3.1096
Li 2.3723 2.3723 6.1463
Pd 0.0000 0.0000 4.6279
Pd 2.3723 2.3723 0.0000
F 0.9080 0.9080 3.1572
F 0.9080 0.9080 6.0987
F 0.9913 0.9913 0.0000
F 1.3810 3.3637 4.6279
F 1.4644 3.2803 1.4707
F 1.4644 3.2803 7.7851
F 3.2803 1.4644 1.4707
F 3.2803 1.4644 7.7851
F 3.3637 1.3810 4.6279
F 3.7533 3.7533 0.0000
F 3.8367 3.8367 3.1572
F 3.8367 3.8367 6.0987
```

Largest 8 diffraction maxima, by intensity, 10 to 90 degrees two-theta:
2θ 21.04, I = 100
2θ 26.57, I = 42
2θ 19.18, I = 32
2θ 52.33, I = 30
2θ 32.98, I = 28
2θ 43.77, I = 24
2θ 39.69, I = 17
2θ 34.68, I = 15

[3]
Structure and simulated powder XRD pattern of Rb2LiPdF6 (the PBE geometry in the Materials Project; CuKα).

Cell and atoms:
```
10
Lattice="0.0000 4.2248 4.2248 4.2248 0.0000 4.2248 4.2248 4.2248 0.0000" Properties=species:S:1:pos:R:3 pbc="T T T"
Rb 2.1124 2.1124 2.1124
Rb 6.3372 6.3372 6.3372
Li 0.0000 0.0000 0.0000
Pd 4.2248 4.2248 4.2248
F 4.2248 4.2248 2.1490
F 4.2248 2.1490 4.2248
F 6.3006 4.2248 4.2248
F 2.1490 4.2248 4.2248
F 4.2248 6.3006 4.2248
F 4.2248 4.2248 6.3006
```

Largest 8 diffraction maxima, by intensity, 10 to 90 degrees two-theta:
2θ 29.91, I = 100
2θ 42.81, I = 49
2θ 18.18, I = 43
2θ 53.10, I = 40
2θ 62.14, I = 29
2θ 35.23, I = 22
2θ 86.12, I = 22
2θ 36.85, I = 20

[4]
Structure and simulated powder XRD pattern of Rb2LiPrF6 (the PBE geometry in the Materials Project; CuKα).

Cell and atoms:
```
10
Lattice="0.0000 4.4518 4.4518 4.4518 0.0000 4.4518 4.4518 4.4518 0.0000" Properties=species:S:1:pos:R:3 pbc="T T T"
Rb 2.2259 2.2259 2.2259
Rb 6.6777 6.6777 6.6777
Li 0.0000 0.0000 0.0000
Pr 4.4518 4.4518 4.4518
F 4.4518 4.4518 2.1491
F 4.4518 2.1491 4.4518
F 6.7546 4.4518 4.4518
F 2.1491 4.4518 4.4518
F 4.4518 6.7546 4.4518
F 4.4518 4.4518 6.7546
```

Largest 8 diffraction maxima, by intensity, 10 to 90 degrees two-theta:
2θ 28.35, I = 100
2θ 17.25, I = 47
2θ 40.53, I = 46
2θ 50.20, I = 42
2θ 33.38, I = 32
2θ 58.65, I = 28
2θ 80.77, I = 22
2θ 66.41, I = 19

[5]
Structure and simulated powder XRD pattern of Li3PtF6 (the PBE geometry in the Materials Project; CuKα).

Cell and atoms:
```
10
Lattice="7.0070 0.0000 0.0000 3.0318 6.3664 0.0000 2.2042 1.6982 11.1485" Properties=species:S:1:pos:R:3 pbc="T T T"
Li 0.0000 0.0000 0.0000
Li 2.6180 4.0323 5.5743
Li 4.6056 0.8491 5.5743
Pt 1.1021 0.8491 5.5743
F 3.4830 5.4453 6.1775
F 5.3392 7.7366 9.4246
F 6.0011 6.6562 5.8203
F 6.2420 1.4084 5.3282
F 6.9038 0.3281 1.7239
F 8.7601 2.6194 4.9711
```

Largest 8 diffraction maxima, by intensity, 10 to 90 degrees two-theta:
2θ 14.08, I = 100
2θ 15.37, I = 47
2θ 15.90, I = 39
2θ 15.09, I = 26
2θ 25.97, I = 24
2θ 16.95, I = 21
2θ 19.62, I = 19
2θ 23.95, I = 19

[6]
Structure and simulated powder XRD pattern of Li2PtF6 (the PBE geometry in the Materials Project; CuKα).

Cell and atoms:
```
18
Lattice="4.7355 0.0000 0.0000 0.0000 4.7355 0.0000 0.0000 0.0000 9.3261" Properties=species:S:1:pos:R:3 pbc="T T T"
Li 0.0000 0.0000 1.5252
Li 0.0000 0.0000 7.8009
Li 2.3677 2.3677 3.1378
Li 2.3677 2.3677 6.1883
Pt 0.0000 0.0000 4.6631
Pt 2.3677 2.3677 0.0000
F 0.9106 0.9106 3.1630
F 0.9106 0.9106 6.1631
F 0.9703 0.9703 0.0000
F 1.3975 3.3380 4.6631
F 1.4571 3.2783 1.5001
F 1.4571 3.2783 7.8261
F 3.2783 1.4571 1.5001
F 3.2783 1.4571 7.8261
F 3.3380 1.3975 4.6631
F 3.7652 3.7652 0.0000
F 3.8249 3.8249 3.1630
F 3.8249 3.8249 6.1631
```

Largest 8 diffraction maxima, by intensity, 10 to 90 degrees two-theta:
2θ 21.04, I = 100
2θ 26.62, I = 37
2θ 19.03, I = 32
2θ 32.93, I = 31
2θ 43.84, I = 29
2θ 52.27, I = 26
2θ 34.51, I = 21
2θ 42.84, I = 14